The following is a simulated X-ray diffraction stick pattern of MnPO4. It was derived from a structure optimized by DFT (PBE+U), using Cu Ka.

Atomic structure:
```
data_MnPO4
_chemical_formula_sum 'Mn6 P6 O24'
_cell_length_a 7.1840
_cell_length_b 8.3954
_cell_length_c 8.4552
_cell_angle_alpha 60.30
_cell_angle_beta 86.25
_cell_angle_gamma 89.80
_symmetry_space_group_name_H-M 'P -1'
_symmetry_Int_Tables_number 2
loop_
_symmetry_equiv_pos_as_xyz
'x,y,z'
'-x,-y,-z'
loop_
_atom_site_label
_atom_site_fract_x
_atom_site_fract_y
_atom_site_fract_z
_atom_site_occupancy
Mn1 0.0000 0.0000 0.0000 1
Mn2 0.0495 0.6626 0.6611 1
Mn3 0.4497 0.6716 0.6707 1
Mn4 0.5000 0.0000 0.0000 1
P1 0.2415 0.0384 0.6401 1
P2 0.2553 0.6363 0.3218 1
P3 0.2558 0.3214 0.0408 1
O1 0.0677 0.1451 0.5621 1
O2 0.0741 0.2947 0.1594 1
O3 0.0793 0.5650 0.2786 1
O4 0.2321 0.9657 0.8470 1
O5 0.2400 0.6006 0.5226 1
O6 0.2507 0.1850 0.9689 1
O7 0.2530 0.8665 0.6073 1
O8 0.2625 0.5228 0.8757 1
O9 0.2751 0.8420 0.1875 1
O10 0.4224 0.1580 0.5553 1
O11 0.4285 0.2783 0.1526 1
O12 0.4323 0.5460 0.2959 1
```

Principal peaks in the range 2θ = 10–80°, in order of falling intensity:
| d (Å) | 2θ/deg | Rel. int. | (hkl) |
| --- | --- | --- | --- |
| 4.221 | 21.05 | 100 | 0 1 -1 |
| 2.821 | 31.72 | 83 | 2 1 2 |
| 3.742 | 23.78 | 72 | 1 -1 1 |
| 3.622 | 24.58 | 65 | 1 2 1 |
| 3.540 | 25.16 | 64 | 1 1 -1 |
| 2.650 | 33.83 | 47 | 2 1 -1 |
| 4.198 | 21.17 | 47 | 0 2 1 |
| 2.428 | 37.03 | 47 | 0 3 3 |
| 2.730 | 32.81 | 35 | 2 2 1 |
| 1.872 | 48.65 | 31 | 2 2 4 |